(1)
Starting from DFT lattice parameters and positions (GGA-PBE), the powder X-ray diffraction pattern of Nd4MgCu4O10 was computed for λ = 1.5418 Å (Cu Kα).

Top 10 peaks for 15° ≤ 2θ ≤ 90°, in order of rising 2θ:
2θ = 28.29°, I = 41, (2 0 -1)
2θ = 28.75°, I = 55, (2 0 1)
2θ = 30.14°, I = 40, (0 1 2)
2θ = 32.92°, I = 100, (1 1 -2)
2θ = 33.32°, I = 35, (1 1 2)
2θ = 36.57°, I = 38, (0 0 4)
2θ = 37.74°, I = 60, (2 1 1)
2θ = 38.81°, I = 50, (1 0 -4)
2θ = 39.38°, I = 80, (1 1 3)
2θ = 49.00°, I = 47, (0 2 0)

```
data_Nd4MgCu4O10
_symmetry_space_group_name_H-M 'P 1 m 1'
_symmetry_Int_Tables_number 6
_cell_length_a 6.606
_cell_length_b 3.718
_cell_length_c 9.832
_cell_angle_alpha 90.00
_cell_angle_beta 91.49
_cell_angle_gamma 90.00
loop_
_symmetry_equiv_pos_as_xyz
'x,y,z'
'x,-y,z'
loop_
_atom_site_label
_atom_site_type_symbol
_atom_site_fract_x
_atom_site_fract_y
_atom_site_fract_z
_atom_site_occupancy
Nd1 Nd 0.000 0.000 0.000 1
Nd2 Nd 0.202 0.000 0.659 1
Nd3 Nd 0.454 0.000 0.201 1
Nd4 Nd 0.711 0.000 0.487 1
Mg1 Mg 0.604 0.000 0.840 1
Cu1 Cu 0.238 0.500 0.409 1
Cu2 Cu 0.378 0.500 0.948 1
Cu3 Cu 0.832 0.500 0.729 1
Cu4 Cu 0.891 0.500 0.245 1
O1 O 0.118 0.500 0.824 1
O2 O 0.179 0.500 0.142 1
O3 O 0.332 0.000 0.432 1
O4 O 0.366 0.000 0.957 1
O5 O 0.499 0.500 0.673 1
O6 O 0.598 0.500 0.331 1
O7 O 0.725 0.500 0.956 1
O8 O 0.835 0.000 0.222 1
O9 O 0.845 0.000 0.726 1
O10 O 0.974 0.500 0.523 1
```

***

(2)
Starting from DFT lattice parameters and positions (GGA-PBE), the powder X-ray diffraction pattern of YAl was computed for λ = 1.5418 Å (Cu Kα).

Top 9 peaks for 15° ≤ 2θ ≤ 90°, in order of rising 2θ:
2θ = 24.69°, I = 37, (1 0 0)
2θ = 35.20°, I = 100, (1 1 0)
2θ = 43.47°, I = 11, (1 1 1)
2θ = 50.63°, I = 17, (2 0 0)
2θ = 57.12°, I = 14, (2 1 0)
2θ = 63.16°, I = 35, (2 1 1)
2θ = 74.42°, I = 11, (2 2 0)
2θ = 79.79°, I = 6, (3 0 0)
2θ = 85.08°, I = 15, (3 1 0)

```
data_YAl
_symmetry_space_group_name_H-M 'P m -3 m'
_symmetry_Int_Tables_number 221
_symmetry_space_group_name_Hall '-P 4 2 3'
_cell_length_a 3.606
_cell_length_b 3.606
_cell_length_c 3.606
_cell_angle_alpha 90.00
_cell_angle_beta 90.00
_cell_angle_gamma 90.00
loop_
_atom_site_label
_atom_site_type_symbol
_atom_site_fract_x
_atom_site_fract_y
_atom_site_fract_z
_atom_site_occupancy
Y1 Y 0.000 0.000 0.000 1
Al1 Al 0.500 0.500 0.500 1
```

***

(3)
Starting from DFT lattice parameters and positions (GGA-PBE), the powder X-ray diffraction pattern of Li2CuH4O4 was computed for λ = 1.5418 Å (Cu Kα).

Top 10 peaks for 15° ≤ 2θ ≤ 90°, in order of rising 2θ:
2θ = 21.00°, I = 28, (0 0 2)
2θ = 22.35°, I = 100, (1 1 1)
2θ = 27.90°, I = 15, (0 2 0)
2θ = 28.10°, I = 15, (2 0 0)
2θ = 37.63°, I = 19, (1 1 3)
2θ = 40.01°, I = 43, (2 2 0)
2θ = 42.76°, I = 19, (0 0 4)
2θ = 45.62°, I = 14, (2 2 2)
2θ = 46.19°, I = 12, (1 3 1)
2θ = 59.99°, I = 20, (2 2 4)

```
data_Li2CuH4O4
_symmetry_space_group_name_H-M 'P n a 21'
_symmetry_Int_Tables_number 33
_cell_length_a 6.352
_cell_length_b 6.395
_cell_length_c 8.460
_cell_angle_alpha 90.00
_cell_angle_beta 90.00
_cell_angle_gamma 90.00
loop_
_symmetry_equiv_pos_as_xyz
'x,y,z'
'-x,-y,z+1/2'
'-x+1/2,y+1/2,z+1/2'
'x+1/2,-y+1/2,z'
loop_
_atom_site_label
_atom_site_type_symbol
_atom_site_fract_x
_atom_site_fract_y
_atom_site_fract_z
_atom_site_occupancy
Li1 Li 0.012 0.200 0.000 1
Li2 Li 0.248 0.492 0.248 1
Cu1 Cu 0.241 0.494 0.751 1
H1 H 0.003 0.765 0.846 1
H2 H 0.008 0.761 0.156 1
H3 H 0.086 0.475 0.499 1
H4 H 0.247 0.667 0.999 1
O1 O 0.027 0.274 0.765 1
O2 O 0.043 0.212 0.238 1
O3 O 0.225 0.515 0.989 1
O4 O 0.240 0.481 0.512 1
```